# 1
MnIr2OsRu4: calculated powder XRD pattern (Cu Kα (weighted mean of Kα1 and Kα2)), based on a cell relaxed with PBE.

Largest 10 diffraction maxima, most intense first, 5 to 70 degrees two-theta:
2θ/deg, intensity, index
40.96, 100.0, 1 1 2
47.66, 48.4, 2 0 0
69.69, 30.7, 2 2 0
23.32, 7.5, 0 0 2
11.60, 6.7, 0 0 1
33.20, 6.3, 1 1 0
26.10, 5.1, 1 0 1
35.28, 4.2, 0 0 3
53.70, 3.5, 2 0 2
59.33, 2.7, 1 1 4

Cell and atoms:
a = 3.818 Å, b = 3.818 Å, c = 7.626 Å
α = 90.00°, β = 90.00°, γ = 90.00°
Space group P4/mmm (No. 123)
Inequivalent atoms, fractional coordinates:
Mn1 0.000 0.000 0.000 [1 per cell]
Ir1 0.000 0.000 0.500 [1 per cell]
Ir2 0.500 0.500 0.500 [1 per cell]
Os1 0.500 0.500 0.000 [1 per cell]
Ru1 0.000 0.500 0.245 [4 per cell]

# 2
AlV2H2: calculated powder XRD pattern (Cu Kα (weighted mean of Kα1 and Kα2)), based on a cell relaxed with PBE.

Largest 10 diffraction maxima, most intense first, 5 to 70 degrees two-theta:
2θ/deg, intensity, index
39.05, 100.0, 1 3 1
41.11, 89.2, 2 0 2
48.13, 55.2, 1 3 3
38.60, 51.9, 0 0 4
23.02, 24.3, 1 1 1
63.32, 22.3, 1 3 5
66.87, 18.2, 3 3 1
35.79, 5.2, 1 1 3
62.23, 4.0, 2 4 2
29.13, 3.3, 0 2 2

Cell and atoms:
a = 4.978 Å, b = 8.132 Å, c = 9.331 Å
α = 90.00°, β = 90.00°, γ = 90.00°
Space group Fddd (No. 70, origin choice 2)
Inequivalent atoms, fractional coordinates:
Al1 0.125 0.125 0.125 [8 per cell]
V1 0.125 0.284 0.625 [16 per cell]
H1 0.125 0.125 0.492 [16 per cell]

# 3
Mn4Ir3: calculated powder XRD pattern (Cu Kα (weighted mean of Kα1 and Kα2)), based on a cell relaxed with PBE.

Largest 10 diffraction maxima, most intense first, 5 to 70 degrees two-theta:
2θ/deg, intensity, index
41.75, 100.0, 1 0 7
45.83, 39.7, 1 1 0
33.94, 32.8, 1 0 3
14.85, 30.3, 0 0 4
7.41, 16.4, 0 0 2
66.82, 12.6, 2 0 0
53.79, 10.4, 0 0 14
60.79, 9.6, 1 1 10
37.70, 9.1, 0 0 10
48.44, 6.9, 1 1 4

Cell and atoms:
a = 2.800 Å, b = 2.800 Å, c = 23.861 Å
α = 90.00°, β = 90.00°, γ = 90.00°
Space group I4/mmm (No. 139)
Inequivalent atoms, fractional coordinates:
Mn1 0.000 0.000 0.071 [4 per cell]
Mn2 0.000 0.000 0.360 [4 per cell]
Ir1 0.000 0.000 0.208 [4 per cell]
Ir2 0.000 0.000 0.500 [2 per cell]